# 1
The following is a computed powder diffractogram of BaNaHg2Bi. It was derived from DFT lattice parameters and positions (GGA-PBE), using Cu Kα (weighted mean of Kα1 and Kα2).
No peak broadening, texture or thermal motion is included.

Most intense lines, 10° ≤ 2θ ≤ 90°, in order of rising 2θ:
| 2theta | intensity |
| --- | --- |
| 18.91 | 39.4 |
| 19.80 | 46.6 |
| 25.94 | 33.9 |
| 26.94 | 54.0 |
| 29.01 | 100.0 |
| 36.03 | 43.4 |
| 36.83 | 58.4 |
| 37.08 | 55.6 |
| 37.98 | 37.6 |
| 54.12 | 42.3 |

Crystal structure
```
BaNaHg2Bi
1.0
-2.3693 2.4929 6.9359
2.3693 -2.4929 6.9359
2.3693 2.4929 -6.9359
Ba Na Hg Bi
1 1 2 1
direct
0.0000 0.0000 0.0000
0.2430 0.7430 0.5000
0.3842 0.3842 0.0000
0.7607 0.2607 0.5000
0.6022 0.6022 0.0000
```

# 2
The following is a computed powder diffractogram of Nd6DyZn. It was derived from DFT lattice parameters and positions (GGA-PBE), using Cu Kα (weighted mean of Kα1 and Kα2).
No peak broadening, texture or thermal motion is included.

Most intense lines, 10° ≤ 2θ ≤ 90°, in order of rising 2θ:
| 2theta | intensity |
| --- | --- |
| 26.94 | 27.9 |
| 28.09 | 18.0 |
| 29.98 | 100.0 |
| 32.93 | 21.5 |
| 33.90 | 79.5 |
| 37.84 | 11.2 |
| 46.73 | 19.3 |
| 50.60 | 26.0 |
| 58.23 | 13.6 |
| 62.30 | 12.3 |

Crystal structure
```
Nd6DyZn
1.0
6.4283 0.0000 0.0000
-0.6676 6.3940 0.0000
-0.6522 -0.7263 6.3556
Nd Dy Zn
6 1 1
direct
0.0461 0.0745 0.2640
0.2362 0.4543 0.9251
0.4256 0.7362 0.4536
0.5744 0.2638 0.5464
0.7638 0.5457 0.0749
0.9539 0.9255 0.7360
0.5000 0.0000 0.0000
0.0000 0.5000 0.5000
```

# 3
The following is a computed powder diffractogram of PmPaFeN4. It was derived from DFT lattice parameters and positions (GGA-PBE), using Cu Kα (weighted mean of Kα1 and Kα2).
No peak broadening, texture or thermal motion is included.

Most intense lines, 10° ≤ 2θ ≤ 90°, in order of rising 2θ:
| 2theta | intensity |
| --- | --- |
| 24.95 | 44.1 |
| 29.02 | 18.0 |
| 32.45 | 100.0 |
| 34.00 | 63.4 |
| 44.10 | 21.6 |
| 45.29 | 31.5 |
| 48.85 | 28.2 |
| 57.99 | 15.5 |
| 59.88 | 36.2 |
| 67.92 | 15.5 |

Crystal structure
```
PmPaFeN4
1.0
-1.8642 1.8642 6.1546
1.8642 -1.8642 6.1546
1.8642 1.8642 -6.1546
Pm Pa Fe N
1 1 1 4
direct
0.0000 0.0000 0.0000
0.7187 0.7187 0.0000
0.3494 0.3494 0.0000
0.1905 0.1905 0.0000
0.3501 0.8501 0.5000
0.5441 0.5441 0.0000
0.8501 0.3501 0.5000
```